# Ac2ReOsN6
Calculated X-ray powder pattern, Cu Kα X-rays. Input: DFT lattice parameters and positions (GGA-PBE).

Structural model:
Cell lengths 5.672, 5.672, 7.999 Å; angles 90.00, 90.00, 90.00 degrees
Space group P4/mnc (No. 128)
Asymmetric unit:
Ac 0.000 0.500 0.250 [4 per cell]
Re 0.000 0.000 0.000 [2 per cell]
Os 0.000 0.000 0.500 [2 per cell]
N 0.000 0.000 0.250 [4 per cell]
N 0.248 0.251 0.000 [8 per cell]

Main lines, sorted by position (15 to 90 degrees two-theta):
31.58 deg, I = 100; 45.22 deg, I = 16; 45.35 deg, I = 8; 56.23 deg, I = 41; 65.97 deg, I = 10; 74.88 deg, I = 12